AcMg3Cd2: computed powder XRD pattern (copper Kα), based on a DFT-relaxed cell (GGA-PBE, Alexandria).
Neutral-atom scattering factors, no anomalous dispersion.

Crystal structure
Cell lengths 5.0257, 5.0257, 14.6108 Å; angles 90.00, 90.00, 120.00 degrees
Element x y z (fractional)
Ac: 0.0000 0.0000 0.2500
Ac: 0.0000 0.0000 0.7500
Mg: 0.0000 0.0000 0.0000
Mg: 0.0000 0.0000 0.5000
Mg: 0.3333 0.6667 0.0918
Mg: 0.3333 0.6667 0.4082
Mg: 0.6667 0.3333 0.5918
Mg: 0.6667 0.3333 0.9082
Cd: 0.3333 0.6667 0.6208
Cd: 0.3333 0.6667 0.8792
Cd: 0.6667 0.3333 0.1208
Cd: 0.6667 0.3333 0.3792

The 6 most intense peaks (10° ≤ 2θ ≤ 80°), sorted by position:
| 2θ (°) | intensity |
| --- | --- |
| 12.12 | 27 |
| 23.80 | 65 |
| 31.99 | 100 |
| 35.73 | 73 |
| 48.71 | 31 |
| 61.86 | 30 |


Nd2DyAl6: computed powder XRD pattern (copper Kα), based on a DFT-relaxed cell (GGA-PBE, Alexandria).
Neutral-atom scattering factors, no anomalous dispersion.

Crystal structure
Cell lengths 7.9653, 7.9653, 3.6379 Å; angles 90.00, 90.00, 120.00 degrees
Element x y z (fractional)
Nd: 0.3333 0.6667 0.0000
Nd: 0.6667 0.3333 0.0000
Dy: 0.0000 0.0000 0.0000
Al: 0.0000 0.3312 0.5000
Al: 0.0000 0.6688 0.5000
Al: 0.3312 0.0000 0.5000
Al: 0.3312 0.3312 0.5000
Al: 0.6688 0.0000 0.5000
Al: 0.6688 0.6688 0.5000

The 6 most intense peaks (10° ≤ 2θ ≤ 80°), sorted by position:
| 2θ (°) | intensity |
| --- | --- |
| 22.32 | 65 |
| 33.36 | 100 |
| 39.18 | 43 |
| 52.38 | 28 |
| 65.42 | 19 |
| 67.32 | 26 |


PdPt4Au: computed powder XRD pattern (copper Kα), based on a DFT-relaxed cell (GGA-PBE, Alexandria).
Neutral-atom scattering factors, no anomalous dispersion.

Crystal structure
Cell lengths 2.8141, 2.8141, 12.0879 Å; angles 90.00, 90.00, 90.00 degrees
Element x y z (fractional)
Pd: 0.0000 0.0000 0.0000
Pt: 0.0000 0.0000 0.3248
Pt: 0.0000 0.0000 0.6752
Pt: 0.5000 0.5000 0.1615
Pt: 0.5000 0.5000 0.8385
Au: 0.5000 0.5000 0.5000

The 6 most intense peaks (10° ≤ 2θ ≤ 80°), sorted by position:
| 2θ (°) | intensity |
| --- | --- |
| 39.04 | 100 |
| 45.00 | 16 |
| 45.59 | 33 |
| 65.99 | 21 |
| 78.99 | 12 |
| 79.85 | 26 |


Tb2SmHo12: computed powder XRD pattern (copper Kα), based on a DFT-relaxed cell (GGA-PBE, Alexandria).
Neutral-atom scattering factors, no anomalous dispersion.

Crystal structure
Cell lengths 3.5382, 5.5545, 24.2575 Å; angles 90.00, 94.13, 90.00 degrees
Element x y z (fractional)
Tb: 0.1368 0.0000 0.2722
Tb: 0.8632 0.0000 0.7278
Sm: 0.5000 0.0000 0.0000
Ho: 0.0376 0.5000 0.0748
Ho: 0.2254 0.5000 0.4450
Ho: 0.2835 0.0000 0.5737
Ho: 0.3331 0.5000 0.6692
Ho: 0.3991 0.5000 0.7982
Ho: 0.4304 0.0000 0.8623
Ho: 0.5696 0.0000 0.1377
Ho: 0.6009 0.5000 0.2018
Ho: 0.6669 0.5000 0.3308
Ho: 0.7165 0.0000 0.4263
Ho: 0.7746 0.5000 0.5550
Ho: 0.9624 0.5000 0.9252

The 6 most intense peaks (10° ≤ 2θ ≤ 80°), sorted by position:
| 2θ (°) | intensity |
| --- | --- |
| 30.46 | 100 |
| 31.37 | 45 |
| 32.23 | 69 |
| 32.47 | 37 |
| 32.69 | 67 |
| 33.74 | 34 |


B2Pb4O7: computed powder XRD pattern (copper Kα), based on a DFT-relaxed cell (GGA-PBE, Alexandria).
Neutral-atom scattering factors, no anomalous dispersion.

Crystal structure
Cell lengths 15.6771, 7.5882, 7.5882 Å; angles 94.55, 90.00, 90.00 degrees
Element x y z (fractional)
B: 0.0087 0.1127 0.8873
B: 0.2461 0.8809 0.1228
B: 0.2539 0.3809 0.6228
B: 0.4913 0.6127 0.3873
B: 0.5087 0.3873 0.6127
B: 0.7461 0.6228 0.3809
B: 0.7539 0.1228 0.8809
B: 0.9913 0.8873 0.1127
Pb: 0.0788 0.5910 0.3395
Pb: 0.1186 0.7203 0.8045
Pb: 0.1262 0.0679 0.4575
Pb: 0.1983 0.2190 0.9624
Pb: 0.3017 0.7190 0.4624
Pb: 0.3738 0.5679 0.9575
Pb: 0.3814 0.2203 0.3045
Pb: 0.4212 0.0910 0.8395
Pb: 0.5788 0.8395 0.0910
Pb: 0.6186 0.3045 0.2203
Pb: 0.6262 0.9575 0.5679
Pb: 0.6983 0.4624 0.7190
Pb: 0.8017 0.9624 0.2190
Pb: 0.8738 0.4575 0.0679
Pb: 0.8814 0.8045 0.7203
Pb: 0.9212 0.3395 0.5910
O: 0.0000 0.0616 0.0616
O: 0.0000 0.5841 0.5841
O: 0.0280 0.8554 0.2715
O: 0.0543 0.0099 0.7638
O: 0.1603 0.7822 0.5219
O: 0.2334 0.9196 0.9480
O: 0.2371 0.2085 0.6632
O: 0.2436 0.0180 0.2558
O: 0.2564 0.5180 0.7558
O: 0.2629 0.7085 0.1632
O: 0.2666 0.4196 0.4480
O: 0.3397 0.2822 0.0219
O: 0.4457 0.5099 0.2638
O: 0.4720 0.3554 0.7715
O: 0.5000 0.0841 0.0841
O: 0.5000 0.5616 0.5616
O: 0.5280 0.7715 0.3554
O: 0.5543 0.2638 0.5099
O: 0.6603 0.0219 0.2822
O: 0.7334 0.4480 0.4196
O: 0.7371 0.1632 0.7085
O: 0.7436 0.7558 0.5180
O: 0.7564 0.2558 0.0180
O: 0.7629 0.6632 0.2085
O: 0.7666 0.9480 0.9196
O: 0.8397 0.5219 0.7822
O: 0.9457 0.7638 0.0099
O: 0.9720 0.2715 0.8554

The 6 most intense peaks (10° ≤ 2θ ≤ 80°), sorted by position:
| 2θ (°) | intensity |
| --- | --- |
| 24.21 | 100 |
| 26.12 | 57 |
| 27.95 | 57 |
| 28.62 | 53 |
| 29.15 | 67 |
| 30.82 | 74 |


LaPrCo2: computed powder XRD pattern (copper Kα), based on a DFT-relaxed cell (GGA-PBE, Alexandria).
Neutral-atom scattering factors, no anomalous dispersion.

Crystal structure
Cell lengths 3.9314, 3.9939, 11.5168 Å; angles 90.00, 90.00, 90.00 degrees
Element x y z (fractional)
La: 0.0000 0.0000 0.0000
La: 0.0000 0.5000 0.5000
Pr: 0.5000 0.0000 0.2768
Pr: 0.5000 0.5000 0.7768
Co: 0.0000 0.0000 0.6901
Co: 0.0000 0.5000 0.1901
Co: 0.5000 0.0000 0.5814
Co: 0.5000 0.5000 0.0814

The 6 most intense peaks (10° ≤ 2θ ≤ 80°), sorted by position:
| 2θ (°) | intensity |
| --- | --- |
| 27.47 | 47 |
| 32.35 | 75 |
| 32.90 | 100 |
| 39.83 | 56 |
| 45.42 | 27 |
| 57.51 | 28 |


Pm5Tm2Mg: computed powder XRD pattern (copper Kα), based on a DFT-relaxed cell (GGA-PBE, Alexandria).
Neutral-atom scattering factors, no anomalous dispersion.

Crystal structure
Cell lengths 8.4490, 7.2180, 6.7396 Å; angles 74.42, 55.38, 50.21 degrees
Element x y z (fractional)
Pm: 0.0000 0.0000 0.0000
Pm: 0.0003 0.4809 0.9997
Pm: 0.4104 0.4104 0.0896
Pm: 0.4809 0.0003 0.5191
Pm: 0.9104 0.9104 0.5896
Tm: 0.4143 0.9010 0.0990
Tm: 0.9010 0.4143 0.5857
Mg: 0.4953 0.4953 0.5047

The 6 most intense peaks (10° ≤ 2θ ≤ 80°), sorted by position:
| 2θ (°) | intensity |
| --- | --- |
| 28.54 | 25 |
| 31.46 | 24 |
| 32.68 | 100 |
| 50.55 | 19 |
| 56.78 | 20 |
| 60.76 | 22 |


Ba3DyRu2O9: computed powder XRD pattern (copper Kα), based on a DFT-relaxed cell (GGA-PBE, Alexandria).
Neutral-atom scattering factors, no anomalous dispersion.

Crystal structure
Cell lengths 5.9583, 5.9583, 14.5948 Å; angles 90.00, 90.00, 120.00 degrees
Element x y z (fractional)
Ba: 0.0000 0.0000 0.2500
Ba: 0.0000 0.0000 0.7500
Ba: 0.3333 0.6667 0.0946
Ba: 0.3333 0.6667 0.4054
Ba: 0.6667 0.3333 0.5946
Ba: 0.6667 0.3333 0.9054
Dy: 0.0000 0.0000 0.0000
Dy: 0.0000 0.0000 0.5000
Ru: 0.3333 0.6667 0.6644
Ru: 0.3333 0.6667 0.8356
Ru: 0.6667 0.3333 0.1644
Ru: 0.6667 0.3333 0.3356
O: 0.0193 0.5096 0.7500
O: 0.1761 0.3523 0.5882
O: 0.1761 0.3523 0.9118
O: 0.1761 0.8239 0.5882
O: 0.1761 0.8239 0.9118
O: 0.3523 0.1761 0.0882
O: 0.3523 0.1761 0.4118
O: 0.4904 0.5096 0.7500
O: 0.4904 0.9807 0.7500
O: 0.5096 0.0193 0.2500
O: 0.5096 0.4904 0.2500
O: 0.6477 0.8239 0.5882
O: 0.6477 0.8239 0.9118
O: 0.8239 0.1761 0.0882
O: 0.8239 0.1761 0.4118
O: 0.8239 0.6477 0.0882
O: 0.8239 0.6477 0.4118
O: 0.9807 0.4904 0.2500

The 6 most intense peaks (10° ≤ 2θ ≤ 80°), sorted by position:
| 2θ (°) | intensity |
| --- | --- |
| 25.16 | 12 |
| 29.99 | 100 |
| 42.93 | 23 |
| 53.26 | 32 |
| 62.34 | 15 |
| 70.71 | 11 |